[1]
Structure and calculated XRD peak list of LiY4Bi4O12 (a PBE-relaxed structure; Cu Ka).
Lines closer than 0.1° are merged.

Atomic structure:
```
data_LiY4Bi4O12
_cell_length_a 5.9557
_cell_length_b 6.1047
_cell_length_c 9.1689
_cell_angle_alpha 92.14
_cell_angle_beta 90.19
_cell_angle_gamma 90.81
_symmetry_space_group_name_H-M 'P 1'
_symmetry_Int_Tables_number 1
_symmetry_space_group_name_Hall 'P 1'
loop_
_atom_site_label
_atom_site_fract_x
_atom_site_fract_y
_atom_site_fract_z
_atom_site_occupancy
Li1 0.0000 0.0000 0.0000 1
Y1 0.0928 0.2095 0.3589 1
Y2 0.1703 0.3030 0.8058 1
Y3 0.5961 0.7401 0.8689 1
Y4 0.6239 0.7299 0.3156 1
Bi1 0.0498 0.8107 0.6129 1
Bi2 0.1156 0.6180 0.1368 1
Bi3 0.5345 0.1849 0.1078 1
Bi4 0.6472 0.3037 0.6099 1
O1 0.2313 0.1396 0.5866 1
O2 0.3357 0.9556 0.2648 1
O3 0.3443 0.0110 0.9216 1
O4 0.3710 0.4478 0.2895 1
O5 0.3986 0.5660 0.6823 1
O6 0.4007 0.4706 0.9778 1
O7 0.7477 0.8168 0.0960 1
O8 0.8242 0.9736 0.4483 1
O9 0.8287 0.4744 0.4402 1
O10 0.8688 0.5088 0.7668 1
O11 0.8793 0.9980 0.7911 1
O12 0.9802 0.2744 0.1146 1
```

Top 6 peaks for 10 to 90 degrees two-theta, by angle:
2θ = 19.38°, I 61, (0 0 2)
2θ = 28.15°, I 86, (1 -1 2)
2θ = 28.30°, I 76, (1 1 -2)
2θ = 28.84°, I 100, (-1 1 2)
2θ = 29.14°, I 97, (1 1 2)
2θ = 30.01°, I 64, (2 0 0)


[2]
Structure and calculated XRD peak list of Na7Cd2In2 (a PBE-relaxed structure; Cu Ka).
Lines closer than 0.1° are merged.

Atomic structure:
```
data_Na7Cd2In2
_cell_length_a 8.7096
_cell_length_b 9.1973
_cell_length_c 8.0679
_cell_angle_alpha 90.00
_cell_angle_beta 101.62
_cell_angle_gamma 90.00
_symmetry_space_group_name_H-M 'C 1 2/m 1'
_symmetry_Int_Tables_number 12
_symmetry_space_group_name_Hall '-C 2y'
loop_
_atom_site_label
_atom_site_fract_x
_atom_site_fract_y
_atom_site_fract_z
_atom_site_occupancy
Na1 0.0000 0.0000 0.0000 1
Na2 0.1585 0.0000 0.4231 1
Na3 0.2175 0.3064 0.1968 1
Cd1 0.1008 0.5000 0.8534 1
In1 0.0000 0.3293 0.5000 1
```

Top 6 peaks for 10 to 90 degrees two-theta, by angle:
2θ = 14.16°, I 81, (1 1 0)
2θ = 32.30°, I 34, (2 2 1)
2θ = 32.73°, I 32, (3 1 -1)
2θ = 33.82°, I 100, (1 3 1)
2θ = 34.95°, I 25, (1 1 -3)
2θ = 37.32°, I 25, (1 3 -2)